No. 1
# AlH2PbO2F3
Theoretical powder X-ray diffraction pattern, CuKα. Input: a structure optimized by DFT (GGA-PBE).
Peak positions follow from Bragg's law for the DFT cell and can differ from measured ones.

Largest 6 diffraction maxima, by angle, 2θ from 10° to 90°:
19.8°, I 100
21.9°, I 51
26.9°, I 74
27.4°, I 52
35.8°, I 48
40.7°, I 54

Structural model:
```
AlH2PbO2F3
1.0
5.0816 0.0000 0.0000
1.9361 6.0966 0.0000
0.0470 1.9237 6.6507
Al H Pb O F
2 4 2 4 6
Direct
0.1618 0.3147 0.1740
0.8382 0.6853 0.8260
0.2661 0.6857 0.0231
0.2684 0.6442 0.6379
0.7316 0.3558 0.3621
0.7339 0.3143 0.9769
0.2044 0.1890 0.6934
0.7956 0.8110 0.3066
0.0957 0.6031 0.6370
0.0991 0.6362 0.0473
0.9009 0.3638 0.9527
0.9043 0.3969 0.3630
0.1880 0.0144 0.2715
0.4288 0.2940 0.3631
0.4447 0.2398 0.0113
0.5553 0.7602 0.9887
0.5712 0.7060 0.6369
0.8120 0.9856 0.7285
```

No. 2
# SrAlHOF4
Theoretical powder X-ray diffraction pattern, CuKα. Input: a structure optimized by DFT (GGA-PBE).
Peak positions follow from Bragg's law for the DFT cell and can differ from measured ones.

Largest 6 diffraction maxima, by angle, 2θ from 10° to 90°:
16.7°, I 100
18.7°, I 76
22.8°, I 79
23.1°, I 37
27.6°, I 37
30.5°, I 46

Structural model:
```
SrAlHOF4
1.0
5.5869 0.0000 0.0000
0.0000 10.5491 0.0000
-2.6926 0.0000 8.2543
Sr Al H O F
4 4 4 4 16
Direct
0.1366 0.1851 0.0664
0.1366 0.3149 0.5664
0.8634 0.6851 0.4336
0.8634 0.8149 0.9336
0.1768 0.5273 0.1843
0.1768 0.9727 0.6843
0.8232 0.0273 0.3157
0.8232 0.4727 0.8157
0.4056 0.7011 0.5708
0.4056 0.7989 0.0708
0.5944 0.2011 0.9292
0.5944 0.2989 0.4292
0.1220 0.5529 0.9588
0.1220 0.9471 0.4588
0.8780 0.0529 0.5412
0.8780 0.4471 0.0412
0.0016 0.1796 0.3167
0.0016 0.3204 0.8167
0.1056 0.0073 0.8714
0.1056 0.4927 0.3714
0.3360 0.1225 0.6918
0.3360 0.3775 0.1918
0.4655 0.6081 0.2704
0.4655 0.8919 0.7704
0.5345 0.1081 0.2296
0.5345 0.3919 0.7296
0.6640 0.6225 0.8082
0.6640 0.8775 0.3082
0.8944 0.5073 0.6286
0.8944 0.9927 0.1286
0.9984 0.6796 0.1833
0.9984 0.8204 0.6833
```

No. 3
# AlZnH4O2F5
Theoretical powder X-ray diffraction pattern, CuKα. Input: a structure optimized by DFT (GGA-PBE).
Peak positions follow from Bragg's law for the DFT cell and can differ from measured ones.

Largest 6 diffraction maxima, by angle, 2θ from 10° to 90°:
15.2°, I 39
17.8°, I 100
24.0°, I 78
29.4°, I 36
30.7°, I 32
49.2°, I 41

Structural model:
```
AlZnH4O2F5
1.0
-3.6280 5.5385 3.4214
3.6280 -5.5385 3.4214
3.6280 5.5385 -3.4214
Al Zn H O F
2 2 8 4 10
Direct
0.5000 0.0000 0.0000
0.5000 0.5000 0.5000
0.0000 0.0000 0.0000
0.5000 0.0000 0.5000
0.0593 0.1004 0.7474
0.0593 0.3119 0.9589
0.1470 0.6881 0.2474
0.1470 0.8996 0.4589
0.8530 0.1004 0.5411
0.8530 0.3119 0.7526
0.9407 0.6881 0.0411
0.9407 0.8996 0.2526
0.1453 0.7452 0.4001
0.1549 0.2548 0.9001
0.8451 0.7452 0.0999
0.8547 0.2548 0.5999
0.2000 0.2664 0.3336
0.2000 0.8664 0.9336
0.4281 0.6781 0.7500
0.4328 0.2664 0.5664
0.4328 0.8664 0.1664
0.5672 0.1336 0.8336
0.5672 0.7336 0.4336
0.5719 0.3219 0.2500
0.8000 0.1336 0.0664
0.8000 0.7336 0.6664
```

No. 4
# AlZnH4O2F5
Theoretical powder X-ray diffraction pattern, CuKα. Input: a structure optimized by DFT (GGA-PBE).
Peak positions follow from Bragg's law for the DFT cell and can differ from measured ones.

Largest 6 diffraction maxima, by angle, 2θ from 10° to 90°:
16.0°, I 75
18.3°, I 92
24.9°, I 100
29.8°, I 69
32.3°, I 43
51.0°, I 53

Structural model:
```
AlZnH4O2F5
1.0
-3.6432 5.3036 3.2472
3.6432 -5.3036 3.2472
3.6432 5.3036 -3.2472
Al Zn H O F
2 2 8 4 10
Direct
0.5000 0.0000 0.0000
0.5000 0.5000 0.5000
0.0000 0.0000 0.0000
0.5000 0.0000 0.5000
0.0343 0.5163 0.3012
0.0343 0.7331 0.5179
0.2849 0.2669 0.8012
0.2849 0.4837 0.0179
0.7151 0.5163 0.9821
0.7151 0.7331 0.1988
0.9657 0.2669 0.4821
0.9657 0.4837 0.6988
0.1389 0.7085 0.4304
0.2218 0.2915 0.9304
0.7782 0.7085 0.0696
0.8611 0.2915 0.5696
0.1837 0.2722 0.3450
0.1837 0.8387 0.9115
0.4272 0.2722 0.5885
0.4272 0.8387 0.1550
0.4421 0.6921 0.7500
0.5579 0.3079 0.2500
0.5728 0.1613 0.8450
0.5728 0.7278 0.4115
0.8163 0.1613 0.0885
0.8163 0.7278 0.6550
```

No. 5
# K2AlHgF6
Theoretical powder X-ray diffraction pattern, CuKα. Input: a structure optimized by DFT (GGA-PBE).
Peak positions follow from Bragg's law for the DFT cell and can differ from measured ones.

Largest 6 diffraction maxima, by angle, 2θ from 10° to 90°:
17.5°, I 51
20.2°, I 53
28.7°, I 100
33.8°, I 55
41.1°, I 40
50.9°, I 36

Structural model:
```
K2AlHgF6
1.0
0.0000 4.3946 4.3946
4.3946 0.0000 4.3946
4.3946 4.3946 0.0000
K Al Hg F
2 1 1 6
Direct
0.2500 0.2500 0.2500
0.7500 0.7500 0.7500
0.0000 0.0000 0.0000
0.5000 0.5000 0.5000
0.2090 0.2090 0.7910
0.2090 0.7910 0.2090
0.2090 0.7910 0.7910
0.7910 0.2090 0.2090
0.7910 0.2090 0.7910
0.7910 0.7910 0.2090
```